Record 1
This entry pairs a crystal structure of Pm4ScAs5 with its computed X-ray powder pattern. Radiation: Cu Kα (λ = 1.5418 Å). Structure: the PBE geometry in Alexandria.
Kinematic intensities with the Lorentz-polarization factor, no thermal factor.

a b c (Å): 15.0129 15.0129 15.0129
angles (deg): 163.96 163.96 22.75
Atoms (fractional coordinates):
Pm 0.0979 0.0979 0.0000
Pm 0.3016 0.3016 0.0000
Pm 0.6984 0.6984 0.0000
Pm 0.9021 0.9021 0.0000
Sc 0.5000 0.5000 0.0000
As 0.0000 0.0000 0.0000
As 0.1996 0.1996 0.0000
As 0.4048 0.4048 0.0000
As 0.5952 0.5952 0.0000
As 0.8004 0.8004 0.0000

Top 10 peaks for 10° ≤ 2θ ≤ 90°, in order of rising 2θ:
2θ 26.11, 3.413 Å, rel. 16.3
2θ 30.18, 2.962 Å, rel. 100.0
2θ 30.37, 2.944 Å, rel. 47.3
2θ 43.20, 2.094 Å, rel. 36.6
2θ 43.34, 2.088 Å, rel. 70.9
2θ 53.72, 1.706 Å, rel. 37.5
2θ 71.19, 1.324 Å, rel. 16.5
2θ 71.29, 1.323 Å, rel. 15.9
2θ 71.59, 1.318 Å, rel. 15.0
2θ 79.33, 1.208 Å, rel. 23.8

---

Record 2
This entry pairs a crystal structure of PmScAs with its computed X-ray powder pattern. Radiation: Cu Kα (λ = 1.5418 Å). Structure: the PBE geometry in Alexandria.
Kinematic intensities with the Lorentz-polarization factor, no thermal factor.

a b c (Å): 4.2057 4.2057 8.0208
angles (deg): 90.00 90.00 90.00
Atoms (fractional coordinates):
Pm 0.2500 0.2500 0.1480
Pm 0.7500 0.7500 0.8520
Sc 0.2500 0.7500 0.5000
Sc 0.7500 0.2500 0.5000
As 0.2500 0.2500 0.7538
As 0.7500 0.7500 0.2462

Top 10 peaks for 10° ≤ 2θ ≤ 90°, in order of rising 2θ:
2θ 30.05, 2.974 Å, rel. 91.3
2θ 30.81, 2.902 Å, rel. 100.0
2θ 32.10, 2.788 Å, rel. 86.9
2θ 33.52, 2.674 Å, rel. 37.8
2θ 37.66, 2.389 Å, rel. 83.1
2θ 39.96, 2.256 Å, rel. 42.8
2θ 43.01, 2.103 Å, rel. 76.5
2θ 53.84, 1.703 Å, rel. 41.7
2θ 61.91, 1.499 Å, rel. 35.9
2θ 78.34, 1.221 Å, rel. 36.4

---

Record 3
This entry pairs a crystal structure of Pm4SnAs2Se with its computed X-ray powder pattern. Radiation: Cu Kα (λ = 1.5418 Å). Structure: the PBE geometry in Alexandria.
Kinematic intensities with the Lorentz-polarization factor, no thermal factor.

a b c (Å): 7.4672 4.2457 7.4897
angles (deg): 90.00 109.03 90.00
Atoms (fractional coordinates):
Pm 0.2400 0.0000 0.2364
Pm 0.2524 0.5000 0.7619
Pm 0.7476 0.5000 0.2381
Pm 0.7600 0.0000 0.7636
Sn 0.5000 0.5000 0.5000
As 0.0000 0.5000 0.0000
As 0.5000 0.0000 0.0000
Se 0.0000 0.0000 0.5000

Top 10 peaks for 10° ≤ 2θ ≤ 90°, in order of rising 2θ:
2θ 29.39, 3.039 Å, rel. 100.0
2θ 41.61, 2.171 Å, rel. 12.6
2θ 42.03, 2.150 Å, rel. 50.2
2θ 42.59, 2.123 Å, rel. 12.3
2θ 51.64, 1.770 Å, rel. 6.5
2θ 51.80, 1.765 Å, rel. 6.8
2θ 52.55, 1.741 Å, rel. 13.2
2θ 61.05, 1.518 Å, rel. 8.1
2θ 69.09, 1.360 Å, rel. 11.3
2θ 77.57, 1.231 Å, rel. 8.4

---

What is the formula in the second record?
PmScAs